# Nb4Te12I
Simulated powder diffraction line list, Cu Kα (weighted mean of Kα1 and Kα2). Input: a GGA-PBE-relaxed structure.

Crystal structure
```
data_Nb4Te12I
_chemical_formula_sum 'Nb16 Te48 I4'
_space_group_name_H-M_alt 'C 1 2/c 1'
_space_group_IT_number 15
_space_group_name_Hall '-C 2yc'
_cell_length_a 21.781
_cell_length_b 6.183
_cell_length_c 19.917
_cell_angle_alpha 90.00
_cell_angle_beta 121.60
_cell_angle_gamma 90.00
loop_
_atom_site_label
_atom_site_fract_x
_atom_site_fract_y
_atom_site_fract_z
Nb1 0.067 0.044 0.366
Nb2 0.083 0.315 0.234
Te1 0.026 0.367 0.433
Te2 0.063 0.004 0.625
Te3 0.136 0.223 0.987
Te4 0.167 0.407 0.718
Te5 0.171 0.367 0.405
Te6 0.181 0.007 0.830
I1 0.000 0.319 0.750
```

Principal peaks in the range 10 to 90 degrees two-theta, low angle first:
2θ 23.59, rel. 39, hkl 1 1 3
2θ 25.21, rel. 100, hkl 5 1 -3
2θ 27.93, rel. 94, hkl 1 1 4
2θ 31.50, rel. 25, hkl 5 1 -6
2θ 32.39, rel. 70, hkl 7 1 -4
2θ 35.05, rel. 24, hkl 5 1 -7
2θ 35.95, rel. 34, hkl 0 2 4
2θ 37.53, rel. 29, hkl 1 1 6
2θ 38.24, rel. 32, hkl 6 2 -3
2θ 44.22, rel. 30, hkl 1 3 0